NaAc2Sn3Au6: simulated XRD peak list (Cu Kα, 1.54184 Å), based on a PBE-relaxed structure.

Cell and atoms:
```
NaAc2Sn3Au6
1.0
4.703 0.000 0.000
0.000 4.703 0.000
0.000 0.000 16.157
Na Ac Sn Au
1 2 3 6
Direct
0.000 0.000 0.000 Na
0.000 0.000 0.264 Ac
0.000 0.000 0.736 Ac
0.500 0.500 0.176 Sn
0.500 0.500 0.500 Sn
0.500 0.500 0.824 Sn
0.000 0.500 0.092 Au
0.000 0.500 0.908 Au
0.500 0.000 0.092 Au
0.500 0.000 0.908 Au
0.500 0.500 0.340 Au
0.500 0.500 0.660 Au
```

Principal peaks in the range 10 to 90 degrees two-theta, by angle:
d_spacing, I_rel
3.257, 95
3.231, 29
3.075, 85
3.064, 41
2.567, 38
2.351, 100
2.337, 58
2.093, 44
1.663, 35
1.658, 41

=====

Sm4MnGe8: simulated XRD peak list (Cu Kα, 1.54184 Å), based on a PBE-relaxed structure.

Cell and atoms:
```
Sm4MnGe8
1.0
4.066 0.000 0.000
0.000 4.235 0.000
0.000 0.000 16.414
Sm Mn Ge
4 1 8
Direct
0.000 0.000 0.000 Sm
0.000 0.500 0.495 Sm
0.500 0.000 0.789 Sm
0.500 0.500 0.288 Sm
0.000 0.500 0.704 Mn
0.000 0.000 0.339 Ge
0.000 0.000 0.635 Ge
0.000 0.500 0.141 Ge
0.000 0.500 0.853 Ge
0.500 0.000 0.147 Ge
0.500 0.000 0.440 Ge
0.500 0.500 0.629 Ge
0.500 0.500 0.952 Ge
```

Principal peaks in the range 10 to 90 degrees two-theta, by angle:
d_spacing, I_rel
3.644, 14
2.736, 15
2.595, 18
2.585, 100
2.270, 16
2.118, 19
2.033, 17
1.675, 15
1.549, 14
1.293, 12

=====

CaAl2TlPd: simulated XRD peak list (Cu Kα, 1.54184 Å), based on a PBE-relaxed structure.

Cell and atoms:
```
CaAl2TlPd
1.0
4.815 0.000 0.000
0.000 4.815 0.000
0.000 0.000 5.373
Ca Al Tl Pd
1 2 1 1
Direct
0.000 0.000 0.000 Ca
0.000 0.500 0.500 Al
0.500 0.000 0.500 Al
0.500 0.500 0.000 Tl
0.500 0.500 0.500 Pd
```

Principal peaks in the range 10 to 90 degrees two-theta, by angle:
d_spacing, I_rel
4.815, 100
3.405, 54
2.876, 28
2.686, 27
2.407, 40
2.346, 32
2.153, 25
2.109, 29
1.793, 33
1.680, 24

=====

BiPdN: simulated XRD peak list (Cu Kα, 1.54184 Å), based on a PBE-relaxed structure.

Cell and atoms:
```
BiPdN
1.0
2.809 -2.810 0.000
2.809 2.810 0.000
-0.616 0.000 11.503
Bi Pd N
2 2 2
Direct
0.237 0.237 0.395 Bi
0.763 0.763 0.605 Bi
0.267 0.267 0.636 Pd
0.733 0.733 0.364 Pd
0.081 0.081 0.974 N
0.919 0.919 0.026 N
```

Principal peaks in the range 10 to 90 degrees two-theta, by angle:
d_spacing, I_rel
3.834, 33
2.876, 34
2.808, 100
2.759, 30
2.730, 38
2.301, 16
2.266, 16
2.010, 25
1.985, 29
1.969, 23

=====

TiPO: simulated XRD peak list (Cu Kα, 1.54184 Å), based on a PBE-relaxed structure.

Cell and atoms:
```
TiPO
1.0
2.615 1.510 5.926
-2.615 1.510 5.926
0.000 -3.020 5.926
Ti P O
3 3 3
Direct
0.000 0.000 0.000 Ti
0.241 0.241 0.241 Ti
0.685 0.685 0.685 Ti
0.013 0.925 0.418 P
0.418 0.013 0.925 P
0.925 0.418 0.013 P
0.296 0.615 0.953 O
0.615 0.953 0.296 O
0.953 0.296 0.615 O
```

Principal peaks in the range 10 to 90 degrees two-theta, by angle:
d_spacing, I_rel
5.926, 41
4.390, 68
4.036, 100
3.172, 42
2.615, 33
2.393, 91
2.215, 39
2.018, 60
1.961, 41
1.910, 31

=====

Pu3Si6Pd20: simulated XRD peak list (Cu Kα, 1.54184 Å), based on a PBE-relaxed structure.

Cell and atoms:
```
Pu3Si6Pd20
1.0
0.000 6.184 6.184
6.184 0.000 6.184
6.184 6.184 0.000
Pu Si Pd
3 6 20
Direct
0.000 0.000 0.000 Pu
0.250 0.250 0.250 Pu
0.750 0.750 0.750 Pu
0.268 0.268 0.732 Si
0.268 0.732 0.268 Si
0.268 0.732 0.732 Si
0.732 0.268 0.268 Si
0.732 0.268 0.732 Si
0.732 0.732 0.268 Si
0.000 0.000 0.346 Pd
0.000 0.000 0.654 Pd
0.000 0.346 0.000 Pd
0.000 0.346 0.654 Pd
0.000 0.654 0.000 Pd
0.000 0.654 0.346 Pd
0.153 0.616 0.616 Pd
0.346 0.000 0.000 Pd
0.346 0.000 0.654 Pd
0.346 0.654 0.000 Pd
0.384 0.384 0.384 Pd
0.384 0.384 0.847 Pd
0.384 0.847 0.384 Pd
0.616 0.153 0.616 Pd
0.616 0.616 0.153 Pd
0.616 0.616 0.616 Pd
0.654 0.000 0.000 Pd
0.654 0.000 0.346 Pd
0.654 0.346 0.000 Pd
0.847 0.384 0.384 Pd
```

Principal peaks in the range 10 to 90 degrees two-theta, by angle:
d_spacing, I_rel
2.766, 27
2.525, 54
2.380, 100
2.186, 41
2.091, 15
1.865, 13
1.458, 37
1.428, 16
1.262, 23
1.243, 10

=====

Ca3P2Pd7: simulated XRD peak list (Cu Kα, 1.54184 Å), based on a PBE-relaxed structure.

Cell and atoms:
```
Ca3P2Pd7
1.0
2.070 -13.001 0.000
2.070 13.001 0.000
0.000 0.000 4.095
Ca P Pd
3 2 7
Direct
0.000 0.000 0.000 Ca
0.180 0.820 0.000 Ca
0.820 0.180 0.000 Ca
0.371 0.629 0.500 P
0.629 0.371 0.500 P
0.083 0.917 0.500 Pd
0.283 0.717 0.500 Pd
0.417 0.583 0.000 Pd
0.500 0.500 0.500 Pd
0.583 0.417 0.000 Pd
0.717 0.283 0.500 Pd
0.917 0.083 0.500 Pd
```

Principal peaks in the range 10 to 90 degrees two-theta, by angle:
d_spacing, I_rel
4.334, 13
4.093, 15
2.600, 11
2.541, 100
2.292, 17
2.070, 21
2.051, 13
2.047, 21
1.456, 13
1.258, 10

=====

Tb8Ho6Tl: simulated XRD peak list (Cu Kα, 1.54184 Å), based on a PBE-relaxed structure.

Cell and atoms:
```
Tb8Ho6Tl
1.0
9.133 0.000 0.000
-4.566 7.909 0.000
0.000 0.000 6.723
Tb Ho Tl
8 6 1
Direct
0.010 0.320 0.382 Tb
0.310 0.990 0.382 Tb
0.320 0.310 0.618 Tb
0.333 0.667 0.680 Tb
0.667 0.333 0.320 Tb
0.680 0.690 0.382 Tb
0.690 0.010 0.618 Tb
0.990 0.680 0.618 Tb
0.078 0.680 0.108 Ho
0.320 0.398 0.108 Ho
0.398 0.078 0.892 Ho
0.602 0.922 0.108 Ho
0.680 0.602 0.892 Ho
0.922 0.320 0.892 Ho
0.000 0.000 0.000 Tl
```

Principal peaks in the range 10 to 90 degrees two-theta, by angle:
d_spacing, I_rel
3.409, 35
3.094, 17
2.989, 15
2.732, 58
2.707, 100
2.636, 74
1.889, 14
1.752, 22
1.535, 11
1.390, 13

=====

Pm15Pr4Th: simulated XRD peak list (Cu Kα, 1.54184 Å), based on a PBE-relaxed structure.

Cell and atoms:
```
Pm15Pr4Th
1.0
5.184 0.000 0.000
0.000 5.184 0.000
0.000 0.000 25.869
Pm Pr Th
15 4 1
Direct
0.000 0.000 0.000 Pm
0.000 0.000 0.199 Pm
0.000 0.000 0.400 Pm
0.000 0.000 0.600 Pm
0.000 0.000 0.801 Pm
0.000 0.500 0.097 Pm
0.000 0.500 0.299 Pm
0.000 0.500 0.500 Pm
0.000 0.500 0.701 Pm
0.000 0.500 0.903 Pm
0.500 0.000 0.097 Pm
0.500 0.000 0.299 Pm
0.500 0.000 0.500 Pm
0.500 0.000 0.701 Pm
0.500 0.000 0.903 Pm
0.500 0.500 0.199 Pr
0.500 0.500 0.400 Pr
0.500 0.500 0.600 Pr
0.500 0.500 0.801 Pr
0.500 0.500 0.000 Th
```

Principal peaks in the range 10 to 90 degrees two-theta, by angle:
d_spacing, I_rel
2.991, 100
2.590, 51
1.832, 36
1.562, 43
1.496, 12
1.189, 6
1.188, 12
1.159, 6
1.159, 5
1.157, 5

=====

BaSr6Pd2: simulated XRD peak list (Cu Kα, 1.54184 Å), based on a PBE-relaxed structure.

Cell and atoms:
```
BaSr6Pd2
1.0
4.181 2.414 7.400
-4.181 2.414 7.400
0.000 -4.828 7.400
Ba Sr Pd
1 6 2
Direct
0.000 0.000 0.000 Ba
0.090 0.576 0.630 Sr
0.402 0.915 0.441 Sr
0.441 0.402 0.915 Sr
0.576 0.630 0.090 Sr
0.630 0.090 0.576 Sr
0.915 0.441 0.402 Sr
0.506 0.506 0.506 Pd
0.676 0.676 0.676 Pd
```

Principal peaks in the range 10 to 90 degrees two-theta, by angle:
d_spacing, I_rel
6.884, 74
4.405, 62
3.573, 62
3.442, 56
2.806, 53
2.771, 100
2.455, 28
2.090, 56
2.022, 35
1.453, 26

=====

DyZn9Pt2: simulated XRD peak list (Cu Kα, 1.54184 Å), based on a PBE-relaxed structure.

Cell and atoms:
```
DyZn9Pt2
1.0
-5.288 5.288 3.462
5.288 -5.288 3.462
5.288 5.288 -3.462
Dy Zn Pt
2 18 4
Direct
0.375 0.625 0.750 Dy
0.625 0.375 0.250 Dy
0.125 0.875 0.250 Zn
0.132 0.554 0.336 Zn
0.132 0.796 0.577 Zn
0.204 0.281 0.336 Zn
0.204 0.868 0.923 Zn
0.281 0.204 0.836 Zn
0.281 0.446 0.077 Zn
0.446 0.281 0.577 Zn
0.446 0.868 0.164 Zn
0.554 0.132 0.836 Zn
0.554 0.719 0.423 Zn
0.719 0.554 0.923 Zn
0.719 0.796 0.164 Zn
0.796 0.132 0.077 Zn
0.796 0.719 0.664 Zn
0.868 0.204 0.423 Zn
0.868 0.446 0.664 Zn
0.875 0.125 0.750 Zn
0.000 0.000 0.000 Pt
0.000 0.000 0.500 Pt
0.000 0.500 0.000 Pt
0.500 0.000 0.500 Pt
```

Principal peaks in the range 10 to 90 degrees two-theta, by angle:
d_spacing, I_rel
3.905, 64
2.701, 100
2.644, 44
2.405, 100
2.365, 71
2.255, 59
2.074, 38
2.023, 92
1.953, 94
1.571, 47

=====

NdErCd: simulated XRD peak list (Cu Kα, 1.54184 Å), based on a PBE-relaxed structure.

Cell and atoms:
```
NdErCd
1.0
0.000 5.058 6.065
2.900 0.000 6.065
2.900 5.058 0.000
Nd Er Cd
2 2 2
Direct
0.167 0.833 0.167 Nd
0.833 0.167 0.833 Nd
0.363 0.363 0.637 Er
0.637 0.637 0.363 Er
0.250 0.250 0.250 Cd
0.750 0.750 0.750 Cd
```

Principal peaks in the range 10 to 90 degrees two-theta, by angle:
d_spacing, I_rel
3.152, 93
2.835, 100
2.616, 35
2.601, 74
2.516, 24
2.334, 20
2.324, 40
1.661, 21
1.614, 34
1.490, 21

=====

Copy entry 4 word for word.
BiPdN: simulated XRD peak list (Cu Kα, 1.54184 Å), based on a PBE-relaxed structure.

Cell and atoms:
```
BiPdN
1.0
2.809 -2.810 0.000
2.809 2.810 0.000
-0.616 0.000 11.503
Bi Pd N
2 2 2
Direct
0.237 0.237 0.395 Bi
0.763 0.763 0.605 Bi
0.267 0.267 0.636 Pd
0.733 0.733 0.364 Pd
0.081 0.081 0.974 N
0.919 0.919 0.026 N
```

Principal peaks in the range 10 to 90 degrees two-theta, by angle:
d_spacing, I_rel
3.834, 33
2.876, 34
2.808, 100
2.759, 30
2.730, 38
2.301, 16
2.266, 16
2.010, 25
1.985, 29
1.969, 23